Structure and theoretical powder XRD pattern of Li3TiCo3O8 (DFT lattice parameters and positions (GGA+U); a wavelength of 1.5418 Å).

Largest 10 diffraction maxima, by angle, 2θ = 10–80°:
| index | 2θ/deg | I (rel.) |
| --- | --- | --- |
| 0 0 2 | 19.37 | 82 |
| 1 0 1 | 20.36 | 100 |
| 1 0 2 | 26.48 | 30 |
| 1 0 3 | 34.48 | 39 |
| 1 1 2 | 37.02 | 43 |
| 2 0 1 | 37.57 | 72 |
| 2 0 2 | 41.40 | 47 |
| 2 0 3 | 47.20 | 83 |
| 2 0 5 | 63.07 | 47 |
| 2 2 0 | 65.15 | 47 |

Structure:
Cell lengths 5.7278, 5.7278, 9.1647 Å; angles 90.00, 90.00, 120.00 degrees
Atoms (fractional coordinates):
Li1 0.1711 0.3423 0.0000
Li2 0.1711 0.8289 0.0000
Li3 0.3423 0.1711 0.5000
Li4 0.6577 0.8289 0.0000
Li5 0.8289 0.1711 0.5000
Li6 0.8289 0.6577 0.5000
Ti1 0.3333 0.6667 0.4412
Ti2 0.6667 0.3333 0.9412
Co1 0.1689 0.3378 0.7273
Co2 0.1689 0.8311 0.7273
Co3 0.3378 0.1689 0.2273
Co4 0.6622 0.8311 0.7273
Co5 0.8311 0.1689 0.2273
Co6 0.8311 0.6622 0.2273
O1 0.0000 0.0000 0.1227
O2 0.0000 0.0000 0.6227
O3 0.0365 0.5183 0.6039
O4 0.1622 0.3245 0.3477
O5 0.1622 0.8378 0.3477
O6 0.3245 0.1622 0.8477
O7 0.3333 0.6667 0.8378
O8 0.4817 0.5183 0.6039
O9 0.4817 0.9635 0.6039
O10 0.5183 0.0365 0.1039
O11 0.5183 0.4817 0.1039
O12 0.6667 0.3333 0.3378
O13 0.6755 0.8378 0.3477
O14 0.8378 0.1622 0.8477
O15 0.8378 0.6755 0.8477
O16 0.9635 0.4817 0.1039